Simulated X-ray diffraction stick pattern
Compound: BaFeTc2O8
Radiation: copper Kα
Structure: a cell relaxed with PBE+U
Peak positions follow from Bragg's law for the DFT cell and can differ from measured ones.

Main lines, sorted by position (2θ from 10° to 80°):
hkl, 2theta, intensity
1 0 0, 18.1, 157
1 0 1, 21.8, 1000
0 1 2, 30.5, 701
1 1 0, 31.6, 700
1 1 1, 33.9, 111
0 1 3, 41.4, 145
0 2 2, 44.5, 323
2 1 1, 50.8, 202
3 -2 2, 55.5, 274
3 0 0, 56.2, 148
1 1 4, 60.3, 250
2 2 0, 65.9, 114

Atomic structure:
a b c (Å): 5.6707 5.6707 7.2975
angles (deg): 90.00 90.00 120.00
Space group P-3 (No. 147)
One atom of each set of equivalent atoms:
Ba  0.0000  0.0000  0.0000 (multiplicity 1)
Fe  0.0000  0.0000  0.5000 (multiplicity 1)
Tc  0.3333  0.6667  0.7444 (multiplicity 2)
O  0.1095  0.3211  0.6760 (multiplicity 6)
O  0.3333  0.6667  0.9883 (multiplicity 2)